Record 1
Diffraction record for LaSm5Ru3. The X-ray powder pattern is computed, not measured: it uses a GGA-PBE-relaxed structure and Cu Ka.

Largest 10 diffraction maxima, by angle, 2θ = 15–90°:
- d = 4.634 Å, I 34, (2 0 -2)
- d = 3.128 Å, I 100, (0 0 3)
- d = 2.931 Å, I 34, (1 3 -1)
- d = 2.411 Å, I 44, (1 3 2)
- d = 2.317 Å, I 26, (4 0 -4)
- d = 2.120 Å, I 19, (4 0 2)
- d = 1.942 Å, I 44, (5 3 -2)
- d = 1.862 Å, I 16, (2 2 -5)
- d = 1.564 Å, I 15, (0 0 6)
- d = 1.170 Å, I 16, (5 3 -8)

Crystal structure
a = 12.561 Å, b = 9.267 Å, c = 10.192 Å
α = 90.00°, β = 112.94°, γ = 90.00°
Space group C2/m (No. 12)
Unique sites:
La 0.102 0.000 0.300 (multiplicity 4)
Sm 0.000 0.302 0.000 (multiplicity 4)
Sm 0.065 0.500 0.366 (multiplicity 4)
Sm 0.167 0.199 0.669 (multiplicity 8)
Sm 0.234 0.000 0.034 (multiplicity 4)
Ru 0.000 0.000 0.000 (multiplicity 2)
Ru 0.000 0.000 0.500 (multiplicity 2)
Ru 0.167 0.500 0.168 (multiplicity 4)
Ru 0.170 0.500 0.666 (multiplicity 4)



Record 2
Diffraction record for Hg3Pb2I4. The X-ray powder pattern is computed, not measured: it uses a GGA-PBE-relaxed structure and Cu Ka.

Largest 10 diffraction maxima, by angle, 2θ = 15–90°:
- d = 5.170 Å, I 41, (0 0 2)
- d = 3.447 Å, I 16, (0 0 3)
- d = 3.391 Å, I 36, (0 2 -2)
- d = 3.375 Å, I 100, (1 1 1)
- d = 2.978 Å, I 26, (1 1 -3)
- d = 2.680 Å, I 18, (0 3 -1)
- d = 2.333 Å, I 26, (1 3 -1)
- d = 2.316 Å, I 29, (2 0 -1)
- d = 2.052 Å, I 20, (1 1 -5)
- d = 1.724 Å, I 19, (0 0 6)

Crystal structure
a = 4.633 Å, b = 8.099 Å, c = 10.681 Å
α = 97.24°, β = 102.50°, γ = 90.02°
Space group P-1 (No. 2)
Unique sites:
Hg 0.000 0.000 0.000 (multiplicity 1)
Hg 0.499 0.701 0.999 (multiplicity 2)
Pb 0.251 0.253 0.503 (multiplicity 2)
I 0.158 0.549 0.316 (multiplicity 2)
I 0.339 0.944 0.677 (multiplicity 2)